[1]
Diffraction record for FeH3. The XRD peak list is computed, not measured: it uses a cell relaxed with GGA-PBE and Cu Kα (λ = 1.5418 Å).
Neutral-atom scattering factors, no anomalous dispersion.

Peak list (4 most intense, 2θ from 10° to 80°, sorted by position)
two_theta  I (rel.)  hkl
34.34  100  1 0 0
49.35  68  1 1 0
61.50  24  1 1 1
72.37  11  2 0 0

Structural model:
a b c (Å): 2.6116 2.6116 2.6116
angles (deg): 90.00 90.00 90.00
Space group Pm-3m (No. 221)
One atom of each set of equivalent atoms:
Fe (0.0000, 0.0000, 0.0000) [1 per cell]
H (0.0000, 0.5000, 0.5000) [3 per cell]

[2]
Diffraction record for Sn13O10F6. The XRD peak list is computed, not measured: it uses a cell relaxed with GGA-PBE and Cu Kα (λ = 1.5418 Å).
Neutral-atom scattering factors, no anomalous dispersion.

Peak list (6 most intense, 2θ from 10° to 80°, sorted by position)
two_theta  I (rel.)  hkl
13.71  41  1 1 0
24.05  36  1 1 5
27.50  39  4 0 -4
29.87  40  3 1 5
32.69  100  2 0 -8
33.66  41  5 1 -3

Structural model:
a b c (Å): 15.1040 7.1487 23.0369
angles (deg): 90.00 93.51 90.00
Space group C2/c (No. 15)
One atom of each set of equivalent atoms:
Sn (0.0000, 0.2216, 0.2500) [4 per cell]
Sn (0.0409, 0.2326, 0.0140) [8 per cell]
Sn (0.0852, 0.0787, 0.6347) [8 per cell]
Sn (0.1021, 0.2328, 0.7937) [8 per cell]
Sn (0.1496, 0.0790, 0.4170) [8 per cell]
Sn (0.1641, 0.4285, 0.1546) [8 per cell]
Sn (0.2317, 0.3921, 0.9373) [8 per cell]
O (0.0036, 0.0256, 0.9415) [8 per cell]
O (0.0267, 0.0108, 0.3161) [8 per cell]
O (0.1384, 0.1945, 0.0980) [8 per cell]
O (0.1737, 0.1449, 0.9825) [8 per cell]
O (0.1969, 0.1482, 0.8612) [8 per cell]
F (0.0368, 0.3729, 0.8586) [8 per cell]
F (0.1436, 0.1588, 0.2240) [8 per cell]
F (0.1914, 0.4234, 0.5710) [8 per cell]

[3]
Diffraction record for MgH16I2O8. The XRD peak list is computed, not measured: it uses a cell relaxed with GGA-PBE and Cu Kα (λ = 1.5418 Å).
Neutral-atom scattering factors, no anomalous dispersion.

Peak list (6 most intense, 2θ from 10° to 80°, sorted by position)
two_theta  I (rel.)  hkl
17.42  26  0 0 2
20.15  39  2 0 0
20.94  39  1 1 2
21.68  100  1 3 1
28.69  35  0 2 3
36.21  25  3 3 1

Structural model:
a b c (Å): 8.8139 15.6006 10.1815
angles (deg): 90.00 90.00 90.00
Space group Cmce (No. 64)
One atom of each set of equivalent atoms:
Mg (0.0000, 0.0000, 0.0000) [4 per cell]
H (0.0000, 0.1288, 0.1877) [8 per cell]
H (0.0000, 0.1770, 0.0506) [8 per cell]
H (0.0899, 0.0897, 0.7874) [16 per cell]
H (0.1946, 0.0474, 0.4726) [16 per cell]
H (0.2307, 0.1920, 0.6753) [16 per cell]
I (0.0000, 0.1742, 0.4368) [8 per cell]
O (0.0000, 0.0569, 0.8168) [8 per cell]
O (0.0000, 0.1199, 0.0919) [8 per cell]
O (0.2388, 0.0000, 0.0000) [8 per cell]
O (0.2500, 0.1541, 0.7500) [8 per cell]

Copy entry 2 word for word.
Diffraction record for Sn13O10F6. The XRD peak list is computed, not measured: it uses a cell relaxed with GGA-PBE and Cu Kα (λ = 1.5418 Å).
Neutral-atom scattering factors, no anomalous dispersion.

Peak list (6 most intense, 2θ from 10° to 80°, sorted by position)
two_theta  I (rel.)  hkl
13.71  41  1 1 0
24.05  36  1 1 5
27.50  39  4 0 -4
29.87  40  3 1 5
32.69  100  2 0 -8
33.66  41  5 1 -3

Structural model:
a b c (Å): 15.1040 7.1487 23.0369
angles (deg): 90.00 93.51 90.00
Space group C2/c (No. 15)
One atom of each set of equivalent atoms:
Sn (0.0000, 0.2216, 0.2500) [4 per cell]
Sn (0.0409, 0.2326, 0.0140) [8 per cell]
Sn (0.0852, 0.0787, 0.6347) [8 per cell]
Sn (0.1021, 0.2328, 0.7937) [8 per cell]
Sn (0.1496, 0.0790, 0.4170) [8 per cell]
Sn (0.1641, 0.4285, 0.1546) [8 per cell]
Sn (0.2317, 0.3921, 0.9373) [8 per cell]
O (0.0036, 0.0256, 0.9415) [8 per cell]
O (0.0267, 0.0108, 0.3161) [8 per cell]
O (0.1384, 0.1945, 0.0980) [8 per cell]
O (0.1737, 0.1449, 0.9825) [8 per cell]
O (0.1969, 0.1482, 0.8612) [8 per cell]
F (0.0368, 0.3729, 0.8586) [8 per cell]
F (0.1436, 0.1588, 0.2240) [8 per cell]
F (0.1914, 0.4234, 0.5710) [8 per cell]

Please write out number 3 again, unchanged.
Diffraction record for MgH16I2O8. The XRD peak list is computed, not measured: it uses a cell relaxed with GGA-PBE and Cu Kα (λ = 1.5418 Å).
Neutral-atom scattering factors, no anomalous dispersion.

Peak list (6 most intense, 2θ from 10° to 80°, sorted by position)
two_theta  I (rel.)  hkl
17.42  26  0 0 2
20.15  39  2 0 0
20.94  39  1 1 2
21.68  100  1 3 1
28.69  35  0 2 3
36.21  25  3 3 1

Structural model:
a b c (Å): 8.8139 15.6006 10.1815
angles (deg): 90.00 90.00 90.00
Space group Cmce (No. 64)
One atom of each set of equivalent atoms:
Mg (0.0000, 0.0000, 0.0000) [4 per cell]
H (0.0000, 0.1288, 0.1877) [8 per cell]
H (0.0000, 0.1770, 0.0506) [8 per cell]
H (0.0899, 0.0897, 0.7874) [16 per cell]
H (0.1946, 0.0474, 0.4726) [16 per cell]
H (0.2307, 0.1920, 0.6753) [16 per cell]
I (0.0000, 0.1742, 0.4368) [8 per cell]
O (0.0000, 0.0569, 0.8168) [8 per cell]
O (0.0000, 0.1199, 0.0919) [8 per cell]
O (0.2388, 0.0000, 0.0000) [8 per cell]
O (0.2500, 0.1541, 0.7500) [8 per cell]

Copy entry 1 word for word.
Diffraction record for FeH3. The XRD peak list is computed, not measured: it uses a cell relaxed with GGA-PBE and Cu Kα (λ = 1.5418 Å).
Neutral-atom scattering factors, no anomalous dispersion.

Peak list (4 most intense, 2θ from 10° to 80°, sorted by position)
two_theta  I (rel.)  hkl
34.34  100  1 0 0
49.35  68  1 1 0
61.50  24  1 1 1
72.37  11  2 0 0

Structural model:
a b c (Å): 2.6116 2.6116 2.6116
angles (deg): 90.00 90.00 90.00
Space group Pm-3m (No. 221)
One atom of each set of equivalent atoms:
Fe (0.0000, 0.0000, 0.0000) [1 per cell]
H (0.0000, 0.5000, 0.5000) [3 per cell]